1.
The following is a calculated powder XRD pattern of Eu2MgAg2W4O16. It was derived from a structure optimized by DFT (PBE+U), using Cu Kα.
Lines closer than 0.1° are merged.

Peak list (10 most intense, 2θ from 10° to 90°, in order of falling intensity)
hkl 1 2 2, 26.70°, rel. 100.0
hkl 1 1 -1, 24.47°, rel. 82.3
hkl 2 0 2, 31.67°, rel. 77.8
hkl 1 0 0, 13.63°, rel. 72.5
hkl 2 0 0, 27.46°, rel. 69.2
hkl 0 0 2, 24.15°, rel. 64.7
hkl 0 2 0, 27.32°, rel. 63.7
hkl 1 -2 0, 34.17°, rel. 53.9
hkl 2 2 0, 32.66°, rel. 46.9
hkl 0 2 -2, 42.35°, rel. 42.2

Atomic structure:
a b c (Å): 7.368 7.535 8.415
angles (deg): 65.06 67.29 65.84
Space group P-1 (No. 2)
Unique sites:
Eu 0.177 0.276 0.353
Mg 0.500 0.500 0.000
Ag 0.241 0.340 0.766
W 0.155 0.843 0.863
W 0.237 0.773 0.255
O 0.070 0.700 0.793
O 0.092 0.108 0.679
O 0.161 0.009 0.019
O 0.181 0.627 0.105
O 0.193 0.550 0.458
O 0.267 0.935 0.344
O 0.439 0.765 0.778
O 0.494 0.326 0.870

2.
The following is a calculated powder XRD pattern of Ba4MgMn4P8O28. It was derived from a structure optimized by DFT (PBE+U), using Cu Kα.
Lines closer than 0.1° are merged.

Peak list (10 most intense, 2θ from 10° to 90°, in order of falling intensity)
hkl 0 0 2, 12.79°, rel. 100.0
hkl 1 -2 0, 25.58°, rel. 85.4
hkl 1 0 3, 23.83°, rel. 83.6
hkl 1 2 0, 25.27°, rel. 78.8
hkl 1 0 -3, 25.94°, rel. 67.3
hkl 1 1 -3, 28.08°, rel. 52.6
hkl 0 2 -3, 28.47°, rel. 52.5
hkl 2 0 0, 31.64°, rel. 51.7
hkl -1 2 2, 28.90°, rel. 45.8
hkl 1 0 4, 29.09°, rel. 42.2

Atomic structure:
a b c (Å): 5.678 8.935 13.904
angles (deg): 87.35 85.08 89.07
Space group P1 (No. 1)
Unique sites:
Ba 0.000 0.000 0.000
Ba 0.047 0.504 0.935
Ba 0.415 0.758 0.441
Ba 0.474 0.255 0.411
Mg 0.573 0.835 0.847
Mn 0.012 0.425 0.581
Mn 0.292 0.722 0.722
Mn 0.569 0.301 0.096
Mn 0.929 0.967 0.309
P 0.038 0.324 0.218
P 0.457 0.944 0.181
P 0.473 0.381 0.700
P 0.491 0.695 0.047
P 0.523 0.200 0.884
P 0.847 0.786 0.644
P 0.925 0.052 0.509
P 0.950 0.561 0.362
O 0.053 0.687 0.598
O 0.136 0.490 0.426
O 0.159 0.018 0.449
O 0.186 0.958 0.187
O 0.255 0.751 0.014
O 0.272 0.226 0.932
O 0.303 0.484 0.760
O 0.305 0.294 0.216
O 0.354 0.334 0.610
O 0.493 0.527 0.068
O 0.513 0.231 0.769
O 0.535 0.776 0.146
O 0.557 0.945 0.280
O 0.580 0.057 0.107
O 0.605 0.756 0.609
O 0.612 0.038 0.891
O 0.696 0.301 0.930
O 0.699 0.521 0.401
O 0.703 0.742 0.973
O 0.719 0.445 0.677
O 0.722 0.997 0.453
O 0.860 0.780 0.753
O 0.894 0.217 0.531
O 0.896 0.216 0.290
O 0.920 0.959 0.611
O 0.942 0.329 0.117
O 0.989 0.730 0.347
O 0.996 0.494 0.255

3.
The following is a calculated powder XRD pattern of HoZnW2O6. It was derived from a structure optimized by DFT (PBE+U), using Cu Kα.
Lines closer than 0.1° are merged.

Peak list (10 most intense, 2θ from 10° to 90°, in order of falling intensity)
hkl 1 1 -2, 31.46°, rel. 100.0
hkl 1 1 2, 32.29°, rel. 89.8
hkl 0 2 0, 32.51°, rel. 46.5
hkl 2 0 0, 30.65°, rel. 45.0
hkl 2 2 0, 45.29°, rel. 35.2
hkl 1 3 -2, 57.37°, rel. 29.5
hkl 0 0 4, 46.12°, rel. 21.9
hkl 1 3 2, 57.87°, rel. 21.1
hkl 1 1 0, 22.20°, rel. 20.7
hkl 0 2 4, 57.56°, rel. 20.2

Atomic structure:
a b c (Å): 5.837 5.507 7.879
angles (deg): 90.00 92.10 90.00
Space group P2_1 (No. 4)
Unique sites:
Ho 0.178 0.000 0.239
Zn 0.200 0.011 0.771
W 0.265 0.523 0.500
W 0.267 0.531 0.004
O 0.049 0.217 0.576
O 0.055 0.215 0.941
O 0.206 0.659 0.741
O 0.271 0.390 0.260
O 0.410 0.881 0.046
O 0.435 0.849 0.431